This entry pairs a crystal structure of MgCoSO with its computed PXRD pattern. Radiation: Cu Kα, 1.54184 Å. Structure: the GGA+U geometry in OQMD.
Neutral-atom scattering factors, no anomalous dispersion.

The 10 most intense peaks (10° ≤ 2θ ≤ 80°), sorted by position:
index, two_theta, I_rel
0 0 2, 14.7, 74
1 1 2, 24.8, 100
0 0 4, 29.6, 44
2 1 0, 31.7, 35
1 2 2, 35.1, 44
1 1 4, 35.9, 48
2 2 0, 40.5, 60
2 2 2, 43.3, 52
1 1 6, 49.7, 43
1 3 4, 55.2, 24

Atomic structure:
a = 6.3039 Å, b = 6.3079 Å, c = 12.0877 Å
α = 90.00°, β = 90.00°, γ = 90.00°
Space group Pbca (No. 61)
Symmetry-distinct sites (fractional):
Mg1 0.1352 0.0463 0.2488 (multiplicity 8)
Co1 0.0510 0.7479 0.4508 (multiplicity 8)
S1 0.2430 0.0038 0.5495 (multiplicity 8)
O1 0.1173 0.7310 0.2878 (multiplicity 8)